This entry pairs a crystal structure of CaV6O11F with its simulated PXRD pattern. Radiation: Cu Kα, 1.54184 Å. Structure: a crystal structure in Alexandria, relaxed with PBE+U.
Kinematic intensities with the Lorentz-polarization factor, no thermal factor.

Structural model:
Cell lengths 5.168, 5.390, 8.593 Å; angles 87.67, 88.30, 75.07 degrees
Element x y z (fractional)
Ca1 0.000 0.000 0.000
V1 0.254 0.970 0.515
V2 0.434 0.160 0.196
V3 0.437 0.161 0.820
V4 0.813 0.562 0.018
V5 0.854 0.572 0.351
V6 0.857 0.569 0.688
O1 0.037 0.753 0.515
O2 0.141 0.239 0.675
O3 0.154 0.246 0.354
O4 0.195 0.309 0.021
O5 0.522 0.873 0.351
O6 0.523 0.865 0.678
O7 0.551 0.918 0.017
O8 0.670 0.352 0.192
O9 0.692 0.368 0.854
O10 0.988 0.711 0.180
O11 0.999 0.707 0.832
F1 0.673 0.417 0.529

Peak list (10 most intense, 2θ from 10° to 80°, sorted by position)
d_spacing, Position (°2θ), I_rel, hkl
4.179, 21.3, 83.8, 1 1 0
3.215, 27.7, 100.0, 1 -1 0
3.062, 29.2, 16.6, 1 1 2
2.930, 30.5, 16.0, 1 1 -2
2.504, 35.9, 18.1, 1 0 3
2.461, 36.5, 21.2, 1 0 -3
2.411, 37.3, 14.2, 1 1 3
2.314, 38.9, 20.5, 1 1 -3
1.724, 53.1, 17.8, 2 2 3
1.666, 55.1, 14.3, -2 1 3